For Rb2SnI2F2, DFT lattice parameters and positions (PBE) gives the calculated X-ray diffraction stick pattern in this record (copper Kα).
Intensities are scaled so that the largest is 100.

Peak list (10 most intense, 2θ from 15° to 90°, in order of rising 2θ)
two_theta, intensity, (hkl)
18.61, 21, 1 0 1
25.56, 100, 1 1 0
28.33, 19, 0 0 6
29.78, 96, 1 0 5
36.46, 53, 2 0 0
38.52, 20, 1 1 6
46.80, 19, 2 0 6
47.77, 51, 2 1 5
52.52, 18, 2 2 0
59.29, 20, 3 1 0

```
Rb2SnI2F2
1.0
4.9285 0.0000 0.0000
0.0000 4.9285 0.0000
0.0000 0.0000 18.9025
Rb Sn I F
4 2 4 4
direct
0.0000 0.0000 0.1162
0.0000 0.0000 0.8838
0.5000 0.5000 0.3838
0.5000 0.5000 0.6162
0.0000 0.0000 0.5000
0.5000 0.5000 0.0000
0.0000 0.0000 0.3293
0.0000 0.0000 0.6706
0.5000 0.5000 0.1706
0.5000 0.5000 0.8294
0.0000 0.5000 0.0000
0.0000 0.5000 0.5000
0.5000 0.0000 0.0000
0.5000 0.0000 0.5000
```